# Ti5Fe7O18
Theoretical powder diffraction line list, λ = 1.5418 Å (Cu Kα). Input: a cell relaxed with PBE+U.
No peak broadening, texture or thermal motion is included.

Top 12 peaks for 2θ = 15–90°, by angle:
Position (°2θ)  Rel. int.  index
23.6  15  1 0 -2
23.7  32  0 2 -1
32.3  93  2 0 -1
32.4  45  1 -2 2
35.0  100  0 0 3
48.3  18  2 0 -4
48.5  35  2 0 2
52.6  25  3 0 -3
52.7  25  1 -4 0
52.9  25  2 -2 3
61.0  15  3 2 -4
62.8  45  2 4 -3

Atomic structure:
a b c (Å): 5.5781 7.5572 8.8763
angles (deg): 112.76 105.65 96.54
Fractional coordinates of all 30 atoms:
Ti  0.0000  0.0000  0.0000
Ti  0.0740  0.9567  0.3339
Ti  0.3353  0.3332  0.6755
Ti  0.6504  0.6526  0.3211
Ti  0.7493  0.6212  0.6660
Fe  0.0815  0.4540  0.3357
Fe  0.3315  0.8353  0.6732
Fe  0.3904  0.2969  0.9960
Fe  0.4153  0.7960  0.9988
Fe  0.6554  0.1674  0.3269
Fe  0.7418  0.1140  0.6600
Fe  0.9822  0.4923  0.9986
O  0.0923  0.2572  0.4481
O  0.1080  0.2749  0.0933
O  0.1196  0.2932  0.7943
O  0.2753  0.9851  0.2021
O  0.2965  0.0051  0.8943
O  0.3157  0.0166  0.5564
O  0.4069  0.5904  0.1061
O  0.4262  0.6102  0.7505
O  0.4612  0.6425  0.4679
O  0.6187  0.3238  0.8666
O  0.6428  0.3478  0.5772
O  0.6519  0.3657  0.2244
O  0.7354  0.9230  0.7821
O  0.7577  0.9414  0.4174
O  0.7870  0.9624  0.1247
O  0.9674  0.6658  0.5463
O  0.9703  0.6776  0.2454
O  0.9935  0.6942  0.8857